Structure and computed powder diffractogram of Li2TbAsO4 (a crystal structure in Alexandria, relaxed with GGA-PBE; CuKα).
Lines closer than 0.1° are merged.

Cell and atoms:
a b c (Å): 4.4538 4.4538 9.5127
angles (deg): 90.00 90.00 90.00
Space group I-4m2 (No. 119)
Asymmetric unit:
Li  0.0000  0.0000  0.0000 [2 per cell]
Li  0.0000  0.5000  0.2500 [2 per cell]
Tb  0.0000  0.5000  0.7500 [2 per cell]
As  0.0000  0.0000  0.5000 [2 per cell]
O  0.0000  0.0000  0.2730 [4 per cell]
O  0.0000  0.5000  0.5052 [4 per cell]

Peak list (10 most intense, 5 to 70 degrees two-theta, by intensity)
d 4.034, 2θ 22.04, rel. 100.0, hkl 1 0 1
d 2.626, 2θ 34.15, rel. 35.8, hkl 1 1 2
d 2.227, 2θ 40.51, rel. 33.2, hkl 2 0 0
d 1.950, 2θ 46.59, rel. 27.5, hkl 2 1 1
d 2.583, 2θ 34.73, rel. 27.3, hkl 1 0 3
d 1.626, 2θ 56.62, rel. 22.7, hkl 2 0 4
d 2.378, 2θ 37.83, rel. 19.6, hkl 0 0 4
d 1.687, 2θ 54.40, rel. 15.4, hkl 2 1 3
d 1.750, 2θ 52.29, rel. 10.9, hkl 1 0 5
d 1.350, 2θ 69.62, rel. 10.9, hkl 3 1 2